Record 1
The following is a computed PXRD pattern of SrTb3Te6. It was derived from a crystal structure in Alexandria, relaxed with GGA-PBE, using CuKα.

Structure:
abc: 12.681 4.428 13.077
angles: 90.00 109.37 90.00
Fractional positions:
Sr  0.049  0.250  0.198
Sr  0.951  0.750  0.802
Tb  0.155  0.250  0.583
Tb  0.316  0.750  0.002
Tb  0.442  0.250  0.336
Tb  0.558  0.750  0.664
Tb  0.684  0.250  0.998
Tb  0.845  0.750  0.417
Te  0.085  0.750  0.409
Te  0.128  0.250  0.966
Te  0.207  0.750  0.751
Te  0.271  0.750  0.230
Te  0.387  0.250  0.553
Te  0.485  0.250  0.118
Te  0.515  0.750  0.882
Te  0.613  0.750  0.447
Te  0.729  0.250  0.770
Te  0.793  0.250  0.249
Te  0.872  0.750  0.034
Te  0.915  0.250  0.591

Principal peaks in the range 10 to 90 degrees two-theta, in order of rising 2θ:
| 2theta | intensity |
| --- | --- |
| 14.15 | 34 |
| 23.37 | 55 |
| 27.23 | 35 |
| 27.42 | 100 |
| 27.80 | 73 |
| 29.65 | 34 |
| 30.16 | 67 |
| 36.47 | 35 |
| 36.84 | 73 |
| 40.74 | 100 |

---

Record 2
The following is a computed PXRD pattern of Sr4TbTl5. It was derived from a crystal structure in Alexandria, relaxed with GGA-PBE, using CuKα.

Structure:
abc: 4.015 4.015 20.384
angles: 90.00 90.00 90.00
Fractional positions:
Sr  0.000  0.000  0.103
Sr  0.000  0.000  0.307
Sr  0.000  0.000  0.693
Sr  0.000  0.000  0.897
Tb  0.000  0.000  0.500
Tl  0.500  0.500  0.000
Tl  0.500  0.500  0.204
Tl  0.500  0.500  0.413
Tl  0.500  0.500  0.587
Tl  0.500  0.500  0.796

Principal peaks in the range 10 to 90 degrees two-theta, in order of rising 2θ:
| 2theta | intensity |
| --- | --- |
| 22.14 | 13 |
| 31.27 | 100 |
| 31.51 | 52 |
| 44.44 | 8 |
| 45.17 | 19 |
| 55.50 | 17 |
| 55.96 | 39 |
| 65.23 | 10 |
| 74.65 | 8 |
| 74.78 | 9 |

---

Record 3
The following is a computed PXRD pattern of Sr2TbTl. It was derived from a crystal structure in Alexandria, relaxed with GGA-PBE, using CuKα.

Structure:
abc: 12.640 12.640 12.640
angles: 17.53 17.53 17.53
Fractional positions:
Sr  0.097  0.097  0.097
Sr  0.903  0.903  0.903
Tb  0.000  0.000  0.000
Tl  0.500  0.500  0.500

Principal peaks in the range 10 to 90 degrees two-theta, in order of rising 2θ:
| 2theta | intensity |
| --- | --- |
| 14.24 | 34 |
| 27.16 | 100 |
| 28.42 | 25 |
| 28.70 | 34 |
| 29.33 | 22 |
| 33.01 | 50 |
| 36.11 | 80 |
| 47.19 | 36 |
| 56.17 | 31 |
| 56.51 | 24 |

---

Record 4
The following is a computed PXRD pattern of SrTbTm. It was derived from a crystal structure in Alexandria, relaxed with GGA-PBE, using CuKα.

Structure:
abc: 6.357 6.357 7.749
angles: 106.15 106.15 47.55
Fractional positions:
Sr  0.165  0.165  0.090
Sr  0.835  0.835  0.910
Tb  0.157  0.157  0.566
Tb  0.843  0.843  0.434
Tm  0.492  0.492  0.714
Tm  0.508  0.508  0.286

Principal peaks in the range 10 to 90 degrees two-theta, in order of rising 2θ:
| 2theta | intensity |
| --- | --- |
| 11.99 | 27 |
| 28.90 | 100 |
| 29.81 | 98 |
| 32.99 | 32 |
| 34.05 | 34 |
| 35.01 | 40 |
| 48.87 | 21 |
| 49.64 | 24 |
| 58.87 | 14 |
| 59.62 | 14 |

---

Record 5
The following is a computed PXRD pattern of Sr3Tc4. It was derived from a crystal structure in Alexandria, relaxed with GGA-PBE, using CuKα.

Structure:
abc: 6.374 6.374 4.883
angles: 90.00 90.00 120.00
Fractional positions:
Sr  0.000  0.500  0.000
Sr  0.500  0.000  0.000
Sr  0.500  0.500  0.000
Tc  0.000  0.000  0.227
Tc  0.000  0.000  0.773
Tc  0.333  0.667  0.500
Tc  0.667  0.333  0.500

Principal peaks in the range 10 to 90 degrees two-theta, in order of rising 2θ:
| 2theta | intensity |
| --- | --- |
| 28.00 | 70 |
| 32.44 | 64 |
| 33.58 | 59 |
| 37.43 | 100 |
| 40.40 | 76 |
| 57.87 | 39 |
| 58.16 | 51 |
| 64.26 | 18 |
| 72.93 | 26 |
| 86.59 | 16 |

---

Record 6
The following is a computed PXRD pattern of SrV2Tc. It was derived from a crystal structure in Alexandria, relaxed with GGA-PBE, using CuKα.

Structure:
abc: 8.953 8.953 8.953
angles: 148.15 148.15 45.66
Fractional positions:
Sr  0.375  0.625  0.750
Sr  0.625  0.375  0.250
V  0.000  0.000  0.000
V  0.000  0.000  0.500
V  0.000  0.500  0.000
V  0.500  0.000  0.500
Tc  0.125  0.875  0.250
Tc  0.875  0.125  0.750

Principal peaks in the range 10 to 90 degrees two-theta, in order of rising 2θ:
| 2theta | intensity |
| --- | --- |
| 18.85 | 28 |
| 27.87 | 100 |
| 36.58 | 24 |
| 41.89 | 33 |
| 42.85 | 31 |
| 43.89 | 17 |
| 57.58 | 28 |
| 58.42 | 12 |
| 60.66 | 21 |
| 69.49 | 14 |

---

Record 7
The following is a computed PXRD pattern of SrTcW2. It was derived from a crystal structure in Alexandria, relaxed with GGA-PBE, using CuKα.

Structure:
abc: 3.180 3.180 7.986
angles: 90.00 90.00 90.00
Fractional positions:
Sr  0.000  0.000  0.000
Tc  0.500  0.500  0.310
W  0.000  0.000  0.485
W  0.500  0.500  0.677

Principal peaks in the range 10 to 90 degrees two-theta, in order of rising 2θ:
| 2theta | intensity |
| --- | --- |
| 11.08 | 86 |
| 36.11 | 100 |
| 40.10 | 53 |
| 41.73 | 15 |
| 44.38 | 34 |
| 54.25 | 13 |
| 58.00 | 18 |
| 70.26 | 29 |
| 75.84 | 14 |
| 84.61 | 10 |

---

Record 8
The following is a computed PXRD pattern of SrTcW2. It was derived from a crystal structure in Alexandria, relaxed with GGA-PBE, using CuKα.

Structure:
abc: 3.052 3.729 7.603
angles: 90.00 90.00 90.00
Fractional positions:
Sr  0.000  0.000  0.000
Tc  0.000  0.000  0.500
W  0.500  0.500  0.340
W  0.500  0.500  0.660

Principal peaks in the range 10 to 90 degrees two-theta, in order of rising 2θ:
| 2theta | intensity |
| --- | --- |
| 11.64 | 100 |
| 26.63 | 23 |
| 33.67 | 46 |
| 37.80 | 33 |
| 38.10 | 84 |
| 39.97 | 20 |
| 43.16 | 27 |
| 46.58 | 22 |
| 48.85 | 21 |
| 52.99 | 26 |

---

Record 9
The following is a computed PXRD pattern of Sr4Te3. It was derived from a crystal structure in Alexandria, relaxed with GGA-PBE, using CuKα.

Structure:
abc: 15.533 15.533 15.533
angles: 17.33 17.33 17.33
Fractional positions:
Sr  0.124  0.124  0.124
Sr  0.372  0.372  0.372
Sr  0.628  0.628  0.628
Sr  0.876  0.876  0.876
Te  0.252  0.252  0.252
Te  0.500  0.500  0.500
Te  0.748  0.748  0.748

Principal peaks in the range 10 to 90 degrees two-theta, in order of rising 2θ:
| 2theta | intensity |
| --- | --- |
| 22.27 | 5 |
| 24.00 | 7 |
| 26.93 | 100 |
| 38.45 | 76 |
| 47.57 | 27 |
| 55.51 | 13 |
| 62.76 | 34 |
| 69.56 | 25 |
| 82.39 | 8 |
| 88.63 | 16 |

---

Record 10
The following is a computed PXRD pattern of Sr5Te3. It was derived from a crystal structure in Alexandria, relaxed with GGA-PBE, using CuKα.

Structure:
abc: 9.775 9.775 9.738
angles: 99.79 99.79 130.82
Fractional positions:
Sr  0.000  0.000  0.000
Sr  0.042  0.825  0.353
Sr  0.182  0.535  0.217
Sr  0.315  0.963  0.784
Sr  0.469  0.687  0.650
Sr  0.500  0.500  0.004
Sr  0.535  0.182  0.217
Sr  0.687  0.469  0.650
Sr  0.825  0.042  0.353
Sr  0.963  0.315  0.784
Te  0.075  0.714  0.002
Te  0.299  0.299  0.358
Te  0.501  0.999  0.499
Te  0.714  0.075  0.002
Te  0.932  0.932  0.640
Te  0.999  0.501  0.499

Principal peaks in the range 10 to 90 degrees two-theta, in order of rising 2θ:
| 2theta | intensity |
| --- | --- |
| 12.96 | 38 |
| 23.96 | 35 |
| 24.09 | 38 |
| 29.63 | 43 |
| 29.78 | 81 |
| 29.93 | 43 |
| 31.27 | 98 |
| 31.41 | 100 |
| 31.84 | 73 |
| 41.91 | 33 |

---

Record 11
The following is a computed PXRD pattern of Sr6Te5. It was derived from a crystal structure in Alexandria, relaxed with GGA-PBE, using CuKα.

Structure:
abc: 8.165 8.165 8.166
angles: 99.61 99.61 120.00
Fractional positions:
Sr  0.082  0.408  0.746
Sr  0.244  0.244  0.253
Sr  0.408  0.082  0.746
Sr  0.592  0.918  0.254
Sr  0.756  0.756  0.747
Sr  0.918  0.592  0.254
Te  0.169  0.831  0.000
Te  0.334  0.666  0.500
Te  0.500  0.500  0.000
Te  0.666  0.334  0.500
Te  0.831  0.169  0.000

Principal peaks in the range 10 to 90 degrees two-theta, in order of rising 2θ:
| 2theta | intensity |
| --- | --- |
| 13.10 | 4 |
| 14.69 | 3 |
| 26.75 | 100 |
| 38.18 | 77 |
| 47.23 | 28 |
| 55.11 | 13 |
| 62.29 | 36 |
| 69.02 | 26 |
| 81.71 | 8 |
| 87.87 | 18 |

---

Record 12
The following is a computed PXRD pattern of Sr3ThTe4. It was derived from a crystal structure in Alexandria, relaxed with GGA-PBE, using CuKα.

Structure:
abc: 8.098 8.098 4.578
angles: 90.00 90.00 108.82
Fractional positions:
Sr  0.000  0.000  0.000
Sr  0.000  0.500  0.500
Sr  0.500  0.000  0.500
Th  0.500  0.500  0.000
Te  0.256  0.744  0.000
Te  0.258  0.258  0.500
Te  0.742  0.742  0.500
Te  0.744  0.256  0.000

Principal peaks in the range 10 to 90 degrees two-theta, in order of rising 2θ:
| 2theta | intensity |
| --- | --- |
| 11.54 | 11 |
| 27.13 | 100 |
| 38.19 | 13 |
| 38.73 | 51 |
| 39.36 | 12 |
| 47.45 | 14 |
| 48.43 | 14 |
| 63.18 | 12 |
| 63.29 | 12 |
| 69.39 | 9 |

---

Record 13
The following is a computed PXRD pattern of Sr2TlTe. It was derived from a crystal structure in Alexandria, relaxed with GGA-PBE, using CuKα.

Structure:
abc: 7.248 7.248 7.248
angles: 141.52 141.52 55.55
Fractional positions:
Sr  0.000  0.000  0.000
Sr  0.750  0.250  0.500
Tl  0.500  0.500  0.000
Te  0.250  0.750  0.500

Principal peaks in the range 10 to 90 degrees two-theta, in order of rising 2θ:
| 2theta | intensity |
| --- | --- |
| 19.84 | 14 |
| 27.83 | 30 |
| 29.90 | 100 |
| 37.66 | 27 |
| 47.47 | 28 |
| 50.53 | 23 |
| 54.32 | 9 |
| 62.13 | 13 |
| 63.25 | 24 |
| 77.36 | 13 |

---

Record 14
The following is a computed PXRD pattern of SrTm4Te6. It was derived from a crystal structure in Alexandria, relaxed with GGA-PBE, using CuKα.

Structure:
abc: 7.439 7.439 22.396
angles: 90.00 90.00 146.00
Fractional positions:
Sr  0.157  0.843  0.750
Sr  0.843  0.157  0.250
Tm  0.092  0.908  0.126
Tm  0.092  0.908  0.374
Tm  0.359  0.641  0.037
Tm  0.359  0.641  0.463
Tm  0.641  0.359  0.537
Tm  0.641  0.359  0.963
Tm  0.908  0.092  0.626
Tm  0.908  0.092  0.874
Te  0.000  0.000  0.000
Te  0.000  0.000  0.500
Te  0.171  0.829  0.250
Te  0.268  0.732  0.588
Te  0.268  0.732  0.912
Te  0.454  0.546  0.159
Te  0.454  0.546  0.341
Te  0.546  0.454  0.659
Te  0.546  0.454  0.841
Te  0.732  0.268  0.088
Te  0.732  0.268  0.412
Te  0.829  0.171  0.750

Principal peaks in the range 10 to 90 degrees two-theta, in order of rising 2θ:
| 2theta | intensity |
| --- | --- |
| 26.98 | 52 |
| 28.12 | 61 |
| 28.97 | 100 |
| 30.34 | 69 |
| 30.64 | 41 |
| 38.77 | 34 |
| 41.19 | 38 |
| 41.52 | 43 |
| 42.32 | 34 |
| 43.02 | 32 |